# Tb5Sm6Tm2
Theoretical powder diffractogram, a wavelength of 1.5418 Å. Input: a crystal structure in Alexandria, relaxed with PBE.

Principal peaks in the range 15° ≤ 2θ ≤ 90°, low angle first:
2θ 31.02, intensity 52
2θ 31.33, intensity 52
2θ 31.49, intensity 55
2θ 31.74, intensity 17
2θ 32.03, intensity 100
2θ 34.12, intensity 29
2θ 36.50, intensity 29
2θ 50.75, intensity 19
2θ 56.83, intensity 19
2θ 60.96, intensity 18

Structural model:
a = 11.646 Å, b = 20.503 Å, c = 3.598 Å
α = 90.00°, β = 90.00°, γ = 90.00°
Fractional positions:
Tb  0.000  0.000  0.000
Tb  0.090  0.273  0.000
Tb  0.197  0.554  0.000
Tb  0.303  0.054  0.000
Tb  0.410  0.773  0.000
Tb  0.500  0.500  0.000
Tb  0.590  0.227  0.000
Tb  0.697  0.946  0.000
Tb  0.803  0.446  0.000
Tb  0.910  0.727  0.000
Sm  0.061  0.419  0.500
Sm  0.084  0.132  0.500
Sm  0.172  0.862  0.000
Sm  0.328  0.362  0.000
Sm  0.416  0.632  0.500
Sm  0.439  0.919  0.500
Sm  0.561  0.081  0.500
Sm  0.584  0.368  0.500
Sm  0.672  0.638  0.000
Sm  0.828  0.138  0.000
Sm  0.916  0.868  0.500
Sm  0.939  0.581  0.500
Tm  0.167  0.709  0.500
Tm  0.333  0.209  0.500
Tm  0.667  0.791  0.500
Tm  0.833  0.291  0.500